# SrCrO4
Computed PXRD pattern, Cu Ka. Input: a crystal structure in the Materials Project, relaxed with GGA+U.
No peak broadening, texture or thermal motion is included.

Principal peaks in the range 15° ≤ 2θ ≤ 90°, sorted by position:
18.19 deg, I 790
21.65 deg, I 248
23.42 deg, I 562
25.15 deg, I 1000
28.63 deg, I 254
31.38 deg, I 407
32.57 deg, I 210
38.24 deg, I 370
39.54 deg, I 176
40.13 deg, I 350

a b c (Å): 6.395 7.601 9.761
angles (deg): 90.00 92.48 90.00
Element x y z (fractional)
Sr 0.167 0.093 0.361
Sr 0.167 0.407 0.861
Sr 0.833 0.593 0.139
Sr 0.833 0.907 0.639
Cr 0.315 0.605 0.235
Cr 0.315 0.895 0.735
Cr 0.685 0.105 0.265
Cr 0.685 0.395 0.765
O 0.099 0.622 0.331
O 0.099 0.878 0.831
O 0.208 0.572 0.068
O 0.208 0.928 0.568
O 0.459 0.233 0.745
O 0.459 0.267 0.245
O 0.463 0.556 0.726
O 0.463 0.944 0.226
O 0.537 0.056 0.774
O 0.537 0.444 0.274
O 0.541 0.733 0.755
O 0.541 0.767 0.255
O 0.792 0.072 0.432
O 0.792 0.428 0.932
O 0.901 0.122 0.169
O 0.901 0.378 0.669

# Mg6CrCoO8
Computed PXRD pattern, Cu Ka. Input: a crystal structure in the Materials Project, relaxed with GGA+U.
No peak broadening, texture or thermal motion is included.

Principal peaks in the range 15° ≤ 2θ ≤ 90°, sorted by position:
20.81 deg, I 92
31.37 deg, I 146
36.38 deg, I 376
42.21 deg, I 1000
42.36 deg, I 492
43.62 deg, I 103
61.23 deg, I 282
61.34 deg, I 558
73.35 deg, I 124
77.27 deg, I 254

a b c (Å): 4.282 4.282 8.535
angles (deg): 90.00 90.00 90.00
Element x y z (fractional)
Mg 0.000 0.000 0.000
Mg 0.000 0.500 0.252
Mg 0.000 0.500 0.748
Mg 0.500 0.000 0.252
Mg 0.500 0.000 0.748
Mg 0.500 0.500 0.000
Cr 0.000 0.000 0.500
Co 0.500 0.500 0.500
O 0.000 0.000 0.255
O 0.000 0.000 0.745
O 0.000 0.500 0.000
O 0.000 0.500 0.500
O 0.500 0.000 0.000
O 0.500 0.000 0.500
O 0.500 0.500 0.243
O 0.500 0.500 0.757

# VO2F
Computed PXRD pattern, Cu Ka. Input: a crystal structure in the Materials Project, relaxed with GGA+U.
No peak broadening, texture or thermal motion is included.

Principal peaks in the range 15° ≤ 2θ ≤ 90°, sorted by position:
23.31 deg, I 603
24.17 deg, I 1000
33.63 deg, I 151
34.02 deg, I 117
40.49 deg, I 68
47.66 deg, I 103
49.51 deg, I 203
53.87 deg, I 95
55.14 deg, I 97
55.42 deg, I 98

a b c (Å): 5.273 5.273 13.085
angles (deg): 91.55 91.55 58.63
Element x y z (fractional)
V 0.015 0.985 0.500
V 0.286 0.370 0.835
V 0.370 0.286 0.335
V 0.628 0.709 0.669
V 0.709 0.628 0.169
V 0.985 0.015 0.000
O 0.014 0.466 0.746
O 0.109 0.714 0.913
O 0.139 0.259 0.411
O 0.259 0.139 0.911
O 0.366 0.932 0.579
O 0.442 0.618 0.743
O 0.466 0.014 0.246
O 0.618 0.442 0.243
O 0.714 0.109 0.413
O 0.784 0.950 0.076
O 0.932 0.366 0.079
O 0.950 0.784 0.576
F 0.037 0.602 0.247
F 0.291 0.682 0.413
F 0.360 0.789 0.079
F 0.602 0.037 0.747
F 0.682 0.291 0.913
F 0.789 0.360 0.579

# Co3O2F4
Computed PXRD pattern, Cu Ka. Input: a crystal structure in the Materials Project, relaxed with GGA+U.
No peak broadening, texture or thermal motion is included.

Principal peaks in the range 15° ≤ 2θ ≤ 90°, sorted by position:
26.87 deg, I 1000
34.34 deg, I 465
34.51 deg, I 146
39.43 deg, I 100
52.33 deg, I 306
52.50 deg, I 148
52.64 deg, I 153
55.37 deg, I 170
58.87 deg, I 107
66.72 deg, I 143

a b c (Å): 7.807 4.700 5.657
angles (deg): 90.00 92.82 90.00
Element x y z (fractional)
Co 0.000 0.000 0.000
Co 0.000 0.500 0.500
Co 0.324 0.042 0.347
Co 0.324 0.458 0.847
Co 0.676 0.542 0.153
Co 0.676 0.958 0.653
O 0.233 0.201 0.036
O 0.233 0.299 0.536
O 0.767 0.701 0.464
O 0.767 0.799 0.964
F 0.107 0.696 0.800
F 0.107 0.804 0.300
F 0.432 0.703 0.136
F 0.432 0.797 0.636
F 0.568 0.203 0.364
F 0.568 0.297 0.864
F 0.893 0.196 0.700
F 0.893 0.304 0.200

# CrF5
Computed PXRD pattern, Cu Ka. Input: a crystal structure in the Materials Project, relaxed with GGA+U.
No peak broadening, texture or thermal motion is included.

Principal peaks in the range 15° ≤ 2θ ≤ 90°, sorted by position:
15.38 deg, I 671
21.48 deg, I 1000
30.83 deg, I 134
34.41 deg, I 173
38.47 deg, I 213
38.86 deg, I 108
43.61 deg, I 185
43.76 deg, I 113
49.27 deg, I 105
61.04 deg, I 154

a b c (Å): 5.954 5.954 11.888
angles (deg): 90.00 90.00 150.85
Element x y z (fractional)
Cr 0.000 0.000 0.000
Cr 0.000 0.000 0.500
F 0.128 0.872 0.581
F 0.128 0.872 0.919
F 0.206 0.794 0.250
F 0.443 0.557 0.588
F 0.443 0.557 0.912
F 0.557 0.443 0.088
F 0.557 0.443 0.412
F 0.794 0.206 0.750
F 0.872 0.128 0.081
F 0.872 0.128 0.419

# Li9Mn2Co5O16
Computed PXRD pattern, Cu Ka. Input: a crystal structure in the Materials Project, relaxed with GGA+U.
No peak broadening, texture or thermal motion is included.

Principal peaks in the range 15° ≤ 2θ ≤ 90°, sorted by position:
18.35 deg, I 1000
35.41 deg, I 149
36.14 deg, I 130
36.60 deg, I 123
42.64 deg, I 290
43.91 deg, I 267
44.35 deg, I 260
62.69 deg, I 76
62.86 deg, I 148
63.71 deg, I 142

a b c (Å): 5.175 7.617 7.739
angles (deg): 93.88 108.30 96.71
Element x y z (fractional)
Li 0.000 0.000 0.000
Li 0.060 0.691 0.564
Li 0.124 0.382 0.130
Li 0.248 0.749 0.264
Li 0.382 0.131 0.385
Li 0.504 0.508 0.506
Li 0.606 0.875 0.614
Li 0.737 0.251 0.744
Li 0.871 0.626 0.869
Mn 0.435 0.816 0.937
Mn 0.562 0.191 0.065
Co 0.186 0.066 0.686
Co 0.295 0.448 0.805
Co 0.689 0.570 0.197
Co 0.822 0.940 0.323
Co 0.936 0.323 0.442
O 0.071 0.523 0.345
O 0.077 0.859 0.788
O 0.196 0.220 0.906
O 0.200 0.923 0.475
O 0.290 0.611 0.025
O 0.318 0.279 0.598
O 0.416 0.974 0.142
O 0.471 0.661 0.741
O 0.533 0.337 0.269
O 0.594 0.033 0.864
O 0.652 0.722 0.392
O 0.701 0.402 0.984
O 0.784 0.098 0.528
O 0.810 0.784 0.091
O 0.916 0.461 0.663
O 0.928 0.153 0.214